This entry pairs a crystal structure of Cs2RbI7 with its simulated X-ray powder pattern. Radiation: a wavelength of 1.5418 Å. Structure: a crystal structure in Alexandria, relaxed with PBE.
Neutral-atom scattering factors, no anomalous dispersion.

Cell and atoms:
Cell lengths 9.8428, 9.8428, 9.8428 Å; angles 125.55, 125.55, 80.63 degrees
Element x y z (fractional)
Cs 0.2500 0.7500 0.5000
Cs 0.7500 0.2500 0.5000
Rb 0.0000 0.0000 0.0000
I 0.2320 0.2320 0.0000
I 0.2723 0.2723 0.5446
I 0.2723 0.7277 0.0000
I 0.5000 0.5000 0.0000
I 0.7277 0.2723 0.0000
I 0.7277 0.7277 0.4554
I 0.7680 0.7680 0.0000

Top 10 peaks for 2θ from 15° to 90°, in order of rising 2θ:
| Position (°2θ) | I/Imax |
| --- | --- |
| 18.27 | 16 |
| 23.03 | 100 |
| 23.71 | 56 |
| 28.02 | 72 |
| 37.03 | 65 |
| 40.05 | 25 |
| 41.28 | 19 |
| 46.70 | 24 |
| 47.07 | 30 |
| 56.96 | 18 |